Structure and computed PXRD pattern of Li2Mg2MnFeP4O16 (a cell relaxed with GGA+U; Cu Kα (weighted mean of Kα1 and Kα2)).

Main lines, low angle first (10 to 90 degrees two-theta):
Position (°2θ), I/Imax
17.6, 48
20.3, 90
20.5, 79
23.1, 79
29.9, 100
35.6, 33
36.1, 33
36.4, 34

Cell and atoms:
a b c (Å): 4.834 5.970 10.106
angles (deg): 90.14 90.70 90.28
Positions (direct):
Li  0.000  0.000  0.000
Li  0.490  0.418  0.499
Mg  0.025  0.205  0.286
Mg  0.476  0.211  0.783
Mn  0.551  0.708  0.223
Fe  0.971  0.710  0.729
P  0.087  0.707  0.406
P  0.416  0.711  0.909
P  0.569  0.209  0.102
P  0.923  0.210  0.604
O  0.154  0.711  0.556
O  0.219  0.905  0.331
O  0.231  0.496  0.346
O  0.237  0.223  0.616
O  0.256  0.196  0.116
O  0.259  0.917  0.845
O  0.275  0.515  0.831
O  0.339  0.708  0.058
O  0.669  0.210  0.959
O  0.705  0.407  0.184
O  0.725  0.005  0.172
O  0.731  0.723  0.891
O  0.765  0.698  0.387
O  0.775  0.418  0.674
O  0.795  0.010  0.684
O  0.817  0.210  0.461